# Cd12In4Hg
Simulated powder X-ray diffraction pattern, λ = 1.5418 Å (Cu Kα). Input: a DFT-relaxed cell (GGA-PBE, Alexandria).

Main lines, sorted by position (2θ = 10–90°):
| 2theta | I_rel |
| --- | --- |
| 24.99 | 19 |
| 28.00 | 100 |
| 33.27 | 45 |
| 40.02 | 24 |
| 44.02 | 35 |
| 45.92 | 46 |
| 57.88 | 11 |
| 62.52 | 13 |
| 64.02 | 12 |
| 71.28 | 11 |
| 80.96 | 11 |
| 82.30 | 15 |

Structural model:
```
Cd12In4Hg
1.0
7.1286 4.1157 2.9060
-7.1286 4.1157 2.9060
0.0000 -8.2314 2.9060
Cd In Hg
12 4 1
Cartesian
-1.4637 -2.0531 2.9009 Cd
-3.5709 -3.2725 4.6163 Cd
-4.6195 1.4562 4.1016 Cd
-1.0462 2.2942 2.9009 Cd
1.0486 -4.7287 4.1016 Cd
2.5099 -0.2410 2.9009 Cd
-2.5099 0.2410 5.8171 Cd
-1.0486 4.7287 4.6163 Cd
1.0462 -2.2942 5.8171 Cd
4.6195 -1.4562 4.6163 Cd
3.5709 3.2725 4.1016 Cd
1.4637 2.0531 5.8171 Cd
-7.1286 0.0000 4.3590 In
-3.5643 2.0578 1.4530 In
3.5643 2.0578 1.4530 In
0.0000 0.0000 4.3590 In
0.0000 0.0000 0.0000 Hg
```